1.
Simulated X-ray diffraction stick pattern of MgV3FeO8 for Cu Kα, 1.54184 Å, from DFT lattice parameters and positions (PBE+U).
Intensities are scaled so that the largest is 100.

Cell and atoms:
a = 5.409 Å, b = 5.833 Å, c = 6.687 Å
α = 87.10°, β = 88.91°, γ = 89.87°
Space group P1 (No. 1)
Unique sites:
Mg (0.000, 0.000, 0.000) x1
V (0.487, 0.821, 0.263) x1
V (0.494, 0.324, 0.994) x1
V (0.984, 0.998, 0.509) x1
Fe (0.005, 0.503, 0.717) x1
O (0.035, 0.290, 0.504) x1
O (0.054, 0.835, 0.749) x1
O (0.141, 0.901, 0.266) x1
O (0.177, 0.297, 0.939) x1
O (0.529, 0.513, 0.186) x1
O (0.635, 0.046, 0.056) x1
O (0.642, 0.439, 0.791) x1
O (0.663, 0.912, 0.477) x1

Top 8 peaks for 15° ≤ 2θ ≤ 90°, most intense first:
2θ 19.71, d 4.504, intensity 100, (0 1 1)
2θ 21.34, d 4.165, intensity 99, (1 0 -1)
2θ 20.94, d 4.242, intensity 91, (1 0 1)
2θ 33.13, d 2.704, intensity 73, (2 0 0)
2θ 34.99, d 2.564, intensity 42, (1 -2 0)
2θ 20.74, d 4.284, intensity 41, (0 1 -1)
2θ 31.55, d 2.836, intensity 40, (0 1 -2)
2θ 30.70, d 2.913, intensity 37, (0 2 0)

2.
Simulated X-ray diffraction stick pattern of MgV3FeO8 for Cu Kα, 1.54184 Å, from DFT lattice parameters and positions (PBE+U).
Intensities are scaled so that the largest is 100.

Cell and atoms:
a = 5.343 Å, b = 5.736 Å, c = 6.902 Å
α = 90.85°, β = 90.63°, γ = 90.94°
Space group P1 (No. 1)
Unique sites:
Mg (0.000, 0.000, 0.000) x1
V (0.493, 0.650, 0.002) x1
V (0.498, 0.143, 0.262) x1
V (0.994, 0.507, 0.733) x1
Fe (0.002, 0.992, 0.521) x1
O (0.047, 0.191, 0.766) x1
O (0.071, 0.656, 0.525) x1
O (0.145, 0.691, 0.937) x1
O (0.172, 0.079, 0.256) x1
O (0.561, 0.430, 0.201) x1
O (0.635, 0.082, 0.477) x1
O (0.640, 0.960, 0.079) x1
O (0.664, 0.561, 0.785) x1

Top 8 peaks for 15° ≤ 2θ ≤ 90°, most intense first:
2θ 21.15, d 4.202, intensity 100, (1 0 1)
2θ 20.91, d 4.248, intensity 99, (1 0 -1)
2θ 19.98, d 4.444, intensity 92, (0 1 -1)
2θ 33.55, d 2.671, intensity 74, (2 0 0)
2θ 20.28, d 4.378, intensity 64, (0 1 1)
2θ 31.19, d 2.867, intensity 52, (0 2 0)
2θ 34.49, d 2.600, intensity 46, (1 1 -2)
2θ 30.02, d 2.976, intensity 33, (0 1 -2)

3.
Simulated X-ray diffraction stick pattern of MgFe2W2O8 for Cu Kα, 1.54184 Å, from DFT lattice parameters and positions (PBE+U).
Intensities are scaled so that the largest is 100.

Cell and atoms:
a = 4.880 Å, b = 5.922 Å, c = 5.183 Å
α = 90.00°, β = 91.51°, γ = 90.00°
Space group P2 (No. 3)
Unique sites:
Mg (0.000, 0.000, 0.000) x1
Fe (0.500, 0.242, 0.500) x1
Fe (0.500, 0.958, 0.000) x1
W (0.000, 0.471, 0.000) x1
W (0.000, 0.757, 0.500) x1
O (0.221, 0.489, 0.684) x2
O (0.221, 0.735, 0.160) x2
O (0.254, 0.235, 0.163) x2
O (0.254, 0.993, 0.665) x2

Top 8 peaks for 15° ≤ 2θ ≤ 90°, most intense first:
2θ 23.63, d 3.765, intensity 100, (1 1 0)
2θ 29.03, d 3.076, intensity 88, (1 1 -1)
2θ 29.61, d 3.017, intensity 85, (1 1 1)
2θ 18.18, d 4.878, intensity 83, (1 0 0)
2θ 34.90, d 2.571, intensity 79, (0 2 1)
2θ 39.85, d 2.262, intensity 45, (1 2 1)
2θ 52.02, d 1.758, intensity 44, (2 2 1)
2θ 34.63, d 2.590, intensity 42, (0 0 2)

4.
Simulated X-ray diffraction stick pattern of Mg2FeWO6 for Cu Kα, 1.54184 Å, from DFT lattice parameters and positions (PBE+U).
Intensities are scaled so that the largest is 100.

Cell and atoms:
a = 5.231 Å, b = 5.233 Å, c = 5.568 Å
α = 90.60°, β = 117.39°, γ = 119.87°
Space group P1 (No. 1)
Unique sites:
Mg (0.000, 0.000, 0.000) x1
Mg (0.009, 0.504, 0.510) x1
Fe (0.577, 0.787, 0.366) x1
W (0.599, 0.300, 0.897) x1
O (0.068, 0.682, 0.169) x1
O (0.134, 0.927, 0.695) x1
O (0.487, 0.561, 0.695) x1
O (0.490, 0.391, 0.176) x1
O (0.764, 0.201, 0.690) x1
O (0.782, 0.103, 0.172) x1

Top 8 peaks for 15° ≤ 2θ ≤ 90°, most intense first:
2θ 23.25, d 3.827, intensity 100, (1 0 0)
2θ 34.25, d 2.618, intensity 78, (-2 1 1)
2θ 20.58, d 4.316, intensity 76, (0 1 0)
2θ 32.27, d 2.774, intensity 66, (1 0 -2)
2θ 23.50, d 3.786, intensity 49, (-1 1 1)
2θ 31.98, d 2.799, intensity 34, (1 -1 1)
2θ 18.89, d 4.698, intensity 31, (0 0 1)
2θ 47.52, d 1.913, intensity 27, (2 0 0)